Theoretical XRD peak list of RbNdAu2I6 for Cu Kα, from DFT lattice parameters and positions (GGA-PBE).
Neutral-atom scattering factors, no anomalous dispersion.

Largest 10 diffraction maxima, by angle, 10 to 90 degrees two-theta:
| two_theta | d (Å) | I (rel.) |
| --- | --- | --- |
| 10.04 | 8.814 | 66 |
| 18.46 | 4.807 | 47 |
| 18.62 | 4.765 | 95 |
| 20.15 | 4.407 | 68 |
| 24.30 | 3.663 | 37 |
| 24.49 | 3.634 | 100 |
| 24.59 | 3.620 | 40 |
| 38.93 | 2.313 | 39 |
| 39.06 | 2.306 | 39 |
| 39.23 | 2.296 | 39 |

Structure:
```
RbNdAu2I6
1.0
7.958 0.000 0.000
3.944 6.940 0.000
3.946 -2.239 8.814
Rb Nd Au I
1 1 2 6
Cartesian
0.000 0.000 0.000
3.950 2.351 4.407
7.954 4.669 2.637
7.899 0.026 6.180
5.222 4.543 2.555
6.472 2.339 6.287
5.200 0.173 2.513
10.653 4.527 6.305
9.388 2.364 2.523
10.630 0.173 6.274
```

=====

Theoretical XRD peak list of NpAu2I6 for Cu Kα, from DFT lattice parameters and positions (GGA-PBE).
Neutral-atom scattering factors, no anomalous dispersion.

Largest 10 diffraction maxima, by angle, 10 to 90 degrees two-theta:
| two_theta | d (Å) | I (rel.) |
| --- | --- | --- |
| 11.20 | 7.898 | 100 |
| 11.83 | 7.480 | 59 |
| 16.30 | 5.437 | 42 |
| 21.10 | 4.211 | 26 |
| 23.79 | 3.740 | 48 |
| 26.26 | 3.394 | 86 |
| 27.49 | 3.244 | 34 |
| 30.42 | 2.938 | 25 |
| 37.14 | 2.420 | 30 |
| 40.42 | 2.231 | 29 |

Structure:
```
NpAu2I6
1.0
7.548 -7.898 0.000
7.548 7.898 0.000
-1.020 0.000 7.516
Np Au I
2 4 12
Cartesian
6.783 6.672 5.637
7.293 -6.672 1.879
5.283 0.019 5.343
5.793 -0.019 1.586
8.283 0.019 5.930
8.793 -0.019 2.172
1.098 1.005 4.590
4.841 4.694 6.437
1.608 -1.005 0.832
5.375 1.779 3.424
8.725 4.694 4.837
4.865 -1.779 7.182
9.211 1.779 0.334
5.351 -4.694 2.679
8.701 -1.779 4.091
12.468 1.005 6.684
9.235 -4.694 1.079
12.978 -1.005 2.926
```

=====

Theoretical XRD peak list of RbNpAu2I8 for Cu Kα, from DFT lattice parameters and positions (GGA-PBE).
Neutral-atom scattering factors, no anomalous dispersion.

Largest 10 diffraction maxima, by angle, 10 to 90 degrees two-theta:
| two_theta | d (Å) | I (rel.) |
| --- | --- | --- |
| 14.07 | 6.295 | 29 |
| 17.44 | 5.086 | 58 |
| 19.18 | 4.626 | 21 |
| 24.02 | 3.705 | 47 |
| 25.39 | 3.509 | 100 |
| 28.97 | 3.082 | 56 |
| 40.54 | 2.225 | 75 |
| 42.30 | 2.137 | 62 |
| 60.03 | 1.541 | 24 |
| 76.16 | 1.250 | 23 |

Structure:
```
RbNpAu2I8
1.0
3.701 2.137 11.140
-3.701 2.137 11.140
0.000 -4.273 11.140
Rb Np Au I
1 1 2 8
Cartesian
0.000 0.000 0.000
0.000 0.000 16.710
0.000 0.000 8.609
0.000 0.000 24.810
-2.413 0.064 14.985
-1.262 -2.058 18.434
0.000 0.000 11.244
1.151 -2.122 14.985
-1.151 2.122 18.434
0.000 0.000 22.175
1.262 2.058 14.985
2.413 -0.064 18.434
```

=====

Theoretical XRD peak list of RbNpAuI6 for Cu Kα, from DFT lattice parameters and positions (GGA-PBE).
Neutral-atom scattering factors, no anomalous dispersion.

Largest 10 diffraction maxima, by angle, 10 to 90 degrees two-theta:
| two_theta | d (Å) | I (rel.) |
| --- | --- | --- |
| 10.56 | 8.376 | 73 |
| 13.19 | 6.713 | 20 |
| 16.93 | 5.238 | 58 |
| 25.32 | 3.517 | 96 |
| 31.45 | 2.845 | 100 |
| 37.02 | 2.428 | 20 |
| 39.79 | 2.265 | 37 |
| 40.31 | 2.238 | 46 |
| 52.00 | 1.759 | 22 |
| 67.77 | 1.383 | 19 |

Structure:
```
RbNpAuI6
1.0
7.751 0.000 0.000
-3.876 6.713 0.000
0.000 0.000 16.753
Rb Np Au I
2 2 2 12
Cartesian
0.000 0.000 0.000
0.000 0.000 8.376
0.000 4.475 4.188
3.876 2.238 12.565
0.000 4.475 12.565
3.876 2.238 4.188
-1.400 2.443 2.432
-2.460 4.279 5.944
1.400 2.443 5.944
-1.060 6.704 2.432
2.816 0.009 10.809
1.416 2.434 14.321
2.460 4.279 2.432
1.060 6.704 5.944
4.936 0.009 14.321
2.475 4.270 10.809
6.336 2.434 10.809
5.276 4.270 14.321
```

=====

Theoretical XRD peak list of Rb5AuI2O for Cu Kα, from DFT lattice parameters and positions (GGA-PBE).
Neutral-atom scattering factors, no anomalous dispersion.

Largest 10 diffraction maxima, by angle, 10 to 90 degrees two-theta:
| two_theta | d (Å) | I (rel.) |
| --- | --- | --- |
| 22.40 | 3.969 | 53 |
| 23.32 | 3.814 | 65 |
| 25.32 | 3.518 | 38 |
| 26.48 | 3.366 | 47 |
| 27.24 | 3.274 | 100 |
| 27.35 | 3.261 | 59 |
| 30.87 | 2.897 | 46 |
| 34.06 | 2.633 | 63 |
| 37.53 | 2.396 | 32 |
| 38.93 | 2.313 | 41 |

Structure:
```
Rb5AuI2O
1.0
2.313 -11.587 0.000
2.313 11.587 0.000
0.000 0.000 14.072
Rb Au I O
10 2 4 2
Cartesian
0.000 0.000 0.000
0.000 0.000 7.036
2.313 8.154 10.554
2.313 6.333 1.751
2.313 6.333 5.285
2.313 2.619 10.554
2.313 -2.619 3.518
2.313 -6.333 8.787
2.313 -6.333 12.321
2.313 -8.154 3.518
2.313 11.424 3.518
2.313 -11.424 10.554
2.313 2.932 0.361
2.313 2.932 6.675
2.313 -2.932 7.397
2.313 -2.932 13.711
2.313 5.374 10.554
2.313 -5.374 3.518
```

=====

Theoretical XRD peak list of RbAuI4O12 for Cu Kα, from DFT lattice parameters and positions (GGA-PBE).
Neutral-atom scattering factors, no anomalous dispersion.

Largest 10 diffraction maxima, by angle, 10 to 90 degrees two-theta:
| two_theta | d (Å) | I (rel.) |
| --- | --- | --- |
| 16.50 | 5.372 | 60 |
| 18.72 | 4.739 | 44 |
| 24.91 | 3.575 | 25 |
| 25.22 | 3.532 | 100 |
| 26.13 | 3.411 | 98 |
| 29.20 | 3.058 | 43 |
| 29.56 | 3.022 | 65 |
| 38.03 | 2.366 | 28 |
| 40.84 | 2.209 | 21 |
| 48.89 | 1.863 | 28 |

Structure:
```
RbAuI4O12
1.0
6.976 -2.938 0.000
6.976 2.938 0.000
-2.611 0.000 7.961
Rb Au I O
1 1 4 12
Cartesian
0.000 0.000 0.000
5.670 1.805 3.981
4.012 0.420 1.304
3.171 0.048 5.237
7.328 0.420 6.657
8.169 0.048 2.725
2.298 0.978 1.531
4.860 1.926 2.143
3.812 1.817 4.796
1.717 1.139 7.614
6.480 1.926 5.818
7.528 1.817 3.165
3.627 -0.787 3.681
9.623 1.139 0.347
4.535 -0.442 6.318
6.805 -0.442 1.643
9.042 0.978 6.430
7.714 -0.787 4.280
```

=====

Theoretical XRD peak list of Rb5Au2IO for Cu Kα, from DFT lattice parameters and positions (GGA-PBE).
Neutral-atom scattering factors, no anomalous dispersion.

Largest 10 diffraction maxima, by angle, 10 to 90 degrees two-theta:
| two_theta | d (Å) | I (rel.) |
| --- | --- | --- |
| 19.31 | 4.596 | 74 |
| 22.09 | 4.024 | 96 |
| 27.54 | 3.239 | 100 |
| 28.96 | 3.083 | 27 |
| 30.59 | 2.922 | 80 |
| 31.36 | 2.852 | 88 |
| 32.27 | 2.774 | 55 |
| 45.06 | 2.012 | 54 |
| 55.09 | 1.667 | 33 |
| 57.13 | 1.612 | 32 |

Structure:
```
Rb5Au2IO
1.0
-2.774 4.109 8.313
2.774 -4.109 8.313
2.774 4.109 -8.313
Rb Au I O
5 2 1 1
Cartesian
0.000 0.000 0.000
2.774 1.910 -2.009
2.774 1.910 2.009
0.000 2.199 6.304
0.000 2.199 10.322
0.000 0.000 3.496
0.000 0.000 13.130
0.000 4.109 0.000
2.774 0.000 0.000
```

=====

Theoretical XRD peak list of Rb2AuI6O for Cu Kα, from DFT lattice parameters and positions (GGA-PBE).
Neutral-atom scattering factors, no anomalous dispersion.

Largest 10 diffraction maxima, by angle, 10 to 90 degrees two-theta:
| two_theta | d (Å) | I (rel.) |
| --- | --- | --- |
| 13.55 | 6.534 | 22 |
| 15.14 | 5.851 | 29 |
| 27.31 | 3.266 | 100 |
| 30.56 | 2.926 | 76 |
| 33.67 | 2.662 | 25 |
| 35.02 | 2.562 | 23 |
| 43.76 | 2.069 | 27 |
| 46.10 | 1.969 | 41 |
| 52.35 | 1.748 | 29 |
| 56.31 | 1.634 | 23 |

Structure:
```
Rb2AuI6O
1.0
-4.137 4.137 5.324
4.137 -4.137 5.324
4.137 4.137 -5.324
Rb Au I O
2 1 6 1
Cartesian
4.137 0.000 2.662
0.000 4.137 2.662
0.000 0.000 0.000
1.933 1.933 0.000
2.204 -2.204 5.324
0.000 0.000 3.087
0.000 0.000 7.561
-2.204 2.204 5.324
2.204 2.204 5.324
0.000 0.000 5.324
```

=====

Theoretical XRD peak list of Rb12Au4IO3 for Cu Kα, from DFT lattice parameters and positions (GGA-PBE).
Neutral-atom scattering factors, no anomalous dispersion.

Largest 10 diffraction maxima, by angle, 10 to 90 degrees two-theta:
| two_theta | d (Å) | I (rel.) |
| --- | --- | --- |
| 21.15 | 4.201 | 40 |
| 25.98 | 3.430 | 100 |
| 30.08 | 2.971 | 76 |
| 37.07 | 2.425 | 16 |
| 43.06 | 2.101 | 53 |
| 50.98 | 1.791 | 41 |
| 53.42 | 1.715 | 17 |
| 68.89 | 1.363 | 15 |
| 70.94 | 1.328 | 20 |
| 78.94 | 1.213 | 14 |

Structure:
```
Rb12Au4IO3
1.0
-5.941 5.941 5.941
5.941 -5.941 5.941
5.941 5.941 -5.941
Rb Au I O
12 4 1 3
Cartesian
3.386 0.000 0.000
8.497 0.000 0.000
5.941 2.971 0.000
5.941 0.000 2.971
0.000 3.386 0.000
0.000 0.000 3.386
2.971 5.941 0.000
2.971 0.000 5.941
0.000 8.497 0.000
0.000 0.000 8.497
0.000 5.941 2.971
0.000 2.971 5.941
2.971 2.971 -2.971
2.971 -2.971 2.971
-2.971 2.971 2.971
2.971 2.971 2.971
0.000 0.000 0.000
5.941 0.000 0.000
0.000 5.941 0.000
0.000 0.000 5.941
```

=====

Theoretical XRD peak list of P2AuI for Cu Kα, from DFT lattice parameters and positions (GGA-PBE).
Neutral-atom scattering factors, no anomalous dispersion.

Largest 10 diffraction maxima, by angle, 10 to 90 degrees two-theta:
| two_theta | d (Å) | I (rel.) |
| --- | --- | --- |
| 16.59 | 5.344 | 11 |
| 26.19 | 3.402 | 38 |
| 27.76 | 3.213 | 100 |
| 37.38 | 2.406 | 29 |
| 47.19 | 1.926 | 47 |
| 50.04 | 1.823 | 26 |
| 61.70 | 1.503 | 11 |
| 74.41 | 1.275 | 12 |
| 76.62 | 1.244 | 13 |
| 80.25 | 1.196 | 10 |

Structure:
```
P2AuI
1.0
-3.402 3.402 4.317
3.402 -3.402 4.317
3.402 3.402 -4.317
P Au I
4 2 2
Cartesian
5.103 1.288 -1.079
1.288 1.701 1.079
-1.701 2.114 3.238
2.114 1.701 5.396
0.000 0.000 0.000
0.000 3.402 2.158
3.402 0.000 2.158
0.000 0.000 4.317
```

=====

Theoretical XRD peak list of P10Au7I for Cu Kα, from DFT lattice parameters and positions (GGA-PBE).
Neutral-atom scattering factors, no anomalous dispersion.

Largest 10 diffraction maxima, by angle, 10 to 90 degrees two-theta:
| two_theta | d (Å) | I (rel.) |
| --- | --- | --- |
| 22.65 | 3.926 | 93 |
| 28.53 | 3.128 | 60 |
| 29.61 | 3.017 | 100 |
| 31.40 | 2.849 | 58 |
| 33.07 | 2.709 | 43 |
| 34.01 | 2.636 | 51 |
| 37.24 | 2.415 | 46 |
| 42.94 | 2.106 | 32 |
| 46.24 | 1.963 | 31 |
| 47.16 | 1.927 | 30 |

Structure:
```
P10Au7I
1.0
6.257 0.000 0.000
-3.128 5.418 0.000
0.000 0.000 11.395
P Au I
10 7 1
Cartesian
-1.177 2.039 2.314
-1.177 2.039 9.081
0.000 3.612 3.350
0.000 3.612 8.046
2.355 0.000 2.314
2.355 0.000 9.081
1.951 3.379 2.314
1.951 3.379 9.081
3.128 1.806 3.350
3.128 1.806 8.046
0.000 0.000 2.636
0.000 0.000 8.760
-1.417 2.455 0.000
0.000 3.612 5.698
2.835 0.000 0.000
1.711 2.963 0.000
3.128 1.806 5.698
0.000 0.000 5.698
```

=====

Theoretical XRD peak list of P10Au7I for Cu Kα, from DFT lattice parameters and positions (GGA-PBE).
Neutral-atom scattering factors, no anomalous dispersion.

Largest 10 diffraction maxima, by angle, 10 to 90 degrees two-theta:
| two_theta | d (Å) | I (rel.) |
| --- | --- | --- |
| 22.76 | 3.908 | 100 |
| 28.47 | 3.135 | 52 |
| 29.58 | 3.020 | 89 |
| 31.80 | 2.814 | 55 |
| 32.99 | 2.715 | 53 |
| 33.96 | 2.640 | 68 |
| 37.38 | 2.406 | 50 |
| 47.13 | 1.928 | 34 |
| 52.83 | 1.733 | 38 |
| 68.52 | 1.369 | 34 |

Structure:
```
P10Au7I
1.0
6.271 0.000 0.000
-3.135 5.431 0.000
0.000 0.000 11.254
P Au I
10 7 1
Cartesian
-1.180 2.043 2.242
-1.956 3.388 9.013
0.000 3.621 3.286
0.000 3.621 7.969
2.359 0.000 2.242
1.180 2.043 9.013
3.912 0.000 9.013
1.956 3.388 2.242
3.135 1.810 3.286
3.135 1.810 7.969
0.000 0.000 2.537
0.000 0.000 8.717
-1.568 2.715 0.000
0.000 3.621 5.627
3.135 0.000 0.000
1.568 2.715 0.000
3.135 1.810 5.627
0.000 0.000 5.627
```